Calculated powder diffraction line list
Compound: CaYb2Ge4O12
Radiation: Cu Kα, 1.54184 Å
Structure: a cell relaxed with PBE
Neutral-atom scattering factors, no anomalous dispersion.

Principal peaks in the range 15 to 90 degrees two-theta, by angle:
Position (°2θ), I_rel
21.3, 38
27.9, 15
30.4, 100
35.4, 24
45.3, 11
49.2, 11
50.7, 26
60.0, 15
60.5, 12
60.6, 12

Atomic structure:
```
38
Lattice="7.147 -7.179 0.000 7.147 7.179 0.000 0.000 0.000 5.129" Properties=species:S:1:pos:R:3 pbc="T T T"
Ca 3.573 3.590 0.000
Ca 3.573 -3.590 0.000
Yb 0.000 0.000 0.000
Yb 3.573 0.000 0.000
Yb 7.147 0.000 0.000
Yb 10.720 0.000 0.000
Ge 5.515 5.224 2.578
Ge 5.515 1.955 2.578
Ge 8.778 5.224 2.578
Ge 8.778 1.955 2.578
Ge 5.515 -1.955 2.551
Ge 5.515 -5.224 2.551
Ge 8.778 -1.955 2.551
Ge 8.778 -5.224 2.551
O 1.653 0.829 3.891
O 2.798 1.842 1.272
O 7.147 5.393 3.411
O 5.433 3.590 1.787
O 1.653 -0.829 1.238
O 4.349 1.842 3.856
O 2.798 -1.842 3.856
O 5.494 0.829 1.238
O 8.860 3.590 1.787
O 7.147 1.786 3.411
O 4.349 -1.842 1.272
O 5.494 -0.829 3.891
O 8.799 0.829 1.238
O 9.945 1.842 3.856
O 7.147 -1.786 1.718
O 5.433 -3.590 3.341
O 8.799 -0.829 3.891
O 11.495 1.842 1.272
O 9.945 -1.842 1.272
O 12.641 0.829 3.891
O 8.860 -3.590 3.341
O 7.147 -5.393 1.718
O 11.495 -1.842 3.856
O 12.641 -0.829 1.238
```